Diffraction record for HPb2F5. The powder diffraction line list is computed, not measured: it uses DFT lattice parameters and positions (PBE) and Cu Ka.
Intensities are scaled so that the largest is 100.

```
data_HPb2F5
_cell_length_a 4.6848
_cell_length_b 14.9034
_cell_length_c 10.4903
_cell_angle_alpha 90.00
_cell_angle_beta 90.00
_cell_angle_gamma 90.00
_symmetry_space_group_name_H-M 'C m c m'
_symmetry_Int_Tables_number 63
_symmetry_space_group_name_Hall '-C 2c 2'
loop_
_atom_site_label
_atom_site_type_symbol
_atom_site_fract_x
_atom_site_fract_y
_atom_site_fract_z
H1 H 0.0000 0.0141 0.2500
Pb1 Pb 0.0000 0.1456 0.5384
F1 F 0.0000 0.0128 0.1405
F2 F 0.0000 0.1849 0.7500
F3 F 0.0000 0.3064 0.0225
```

Peak list (10 most intense, 10 to 90 degrees two-theta, low angle first)
two_theta  I (rel.)  (hkl)
14.58  24  0 2 1
16.90  100  0 0 2
19.87  84  1 1 0
23.88  31  0 4 0
26.17  90  1 3 0
28.19  28  0 2 3
29.41  39  0 4 2
31.30  57  1 3 2
38.43  25  2 0 0
50.18  28  1 7 2